Theoretical X-ray powder pattern
Compound: K3SbPb
Radiation: Cu Kα
Structure: a crystal structure in Alexandria, relaxed with GGA-PBE

Principal peaks in the range 5° ≤ 2θ ≤ 70°, in order of rising 2θ:
hkl, 2θ/deg, intensity
2 0 0, 14.59, 93
0 1 1, 14.93, 38
2 1 1, 20.94, 36
2 0 2, 28.24, 100
4 0 0, 29.42, 44
2 3 1, 33.14, 56

Cell and atoms:
```
data_K3SbPb
_cell_length_a 12.145
_cell_length_b 9.921
_cell_length_c 7.401
_cell_angle_alpha 90.00
_cell_angle_beta 90.00
_cell_angle_gamma 90.00
_symmetry_space_group_name_H-M 'I m a 2'
_symmetry_Int_Tables_number 46
loop_
_symmetry_equiv_pos_as_xyz
'x,y,z'
'-x,-y,z'
'-x+1/2,y,z'
'x+1/2,-y,z'
'x+1/2,y+1/2,z+1/2'
'-x+1/2,-y+1/2,z+1/2'
'-x,y+1/2,z+1/2'
'x,-y+1/2,z+1/2'
loop_
_atom_site_label
_atom_site_fract_x
_atom_site_fract_y
_atom_site_fract_z
K1 0.017 0.248 0.000
K2 0.250 0.035 0.748
Sb1 0.250 0.102 0.249
Pb1 0.250 0.689 0.750
```